# 1
Structure and calculated X-ray diffraction stick pattern of KHo3As4O12 (a DFT-relaxed cell (PBE, Alexandria); λ = 1.5418 Å (Cu Kα)).
Intensities are scaled so that the largest is 100.

```
KHo3As4O12
1.0
5.710 3.296 2.979
-5.710 3.296 2.979
0.000 -6.593 2.979
K Ho As O
1 3 4 12
Direct
0.000 0.000 0.000
0.000 0.568 0.432
0.432 0.000 0.568
0.568 0.432 0.000
0.079 0.500 0.921
0.500 0.500 0.500
0.500 0.921 0.079
0.921 0.079 0.500
0.016 0.257 0.384
0.076 0.924 0.500
0.257 0.384 0.016
0.330 0.670 0.500
0.384 0.016 0.257
0.500 0.076 0.924
0.500 0.330 0.670
0.616 0.743 0.984
0.670 0.500 0.330
0.743 0.984 0.616
0.924 0.500 0.076
0.984 0.616 0.743
```

The 8 most intense peaks (2θ from 5° to 70°), by intensity:
- 26.9°, rel. 100
- 25.8°, rel. 54
- 34.2°, rel. 50
- 15.5°, rel. 35
- 33.9°, rel. 34
- 38.5°, rel. 24
- 44.5°, rel. 23
- 58.3°, rel. 22

# 2
Structure and calculated X-ray diffraction stick pattern of LaHoAs2Rh5 (a DFT-relaxed cell (PBE, Alexandria); λ = 1.5418 Å (Cu Kα)).
Intensities are scaled so that the largest is 100.

```
LaHoAs2Rh5
1.0
4.084 0.000 0.000
0.000 4.084 0.000
0.000 0.000 11.276
La Ho As Rh
1 1 2 5
Direct
0.000 0.000 0.000
0.000 0.000 0.500
0.500 0.500 0.212
0.500 0.500 0.788
0.000 0.500 0.320
0.000 0.500 0.680
0.500 0.000 0.320
0.500 0.000 0.680
0.500 0.500 0.000
```

The 8 most intense peaks (2θ from 5° to 70°), by intensity:
- 34.9°, rel. 100
- 44.4°, rel. 85
- 27.0°, rel. 75
- 44.9°, rel. 56
- 39.3°, rel. 46
- 32.0°, rel. 39
- 23.7°, rel. 37
- 51.4°, rel. 36

# 3
Structure and calculated X-ray diffraction stick pattern of La2Tb3HoAs6 (a DFT-relaxed cell (PBE, Alexandria); λ = 1.5418 Å (Cu Kα)).
Intensities are scaled so that the largest is 100.

```
La2Tb3HoAs6
1.0
9.181 -2.108 0.000
9.181 2.108 0.000
-1.938 0.000 8.204
La Tb Ho As
2 3 1 6
Direct
0.165 0.165 0.331
0.835 0.835 0.669
0.167 0.167 0.834
0.500 0.500 0.500
0.833 0.833 0.166
0.500 0.500 0.000
0.003 0.003 0.754
0.335 0.335 0.926
0.336 0.336 0.410
0.664 0.664 0.590
0.665 0.665 0.074
0.997 0.997 0.246
```

The 7 most intense peaks (2θ from 5° to 70°), by intensity:
- 30.0°, rel. 100
- 42.9°, rel. 75
- 53.2°, rel. 26
- 25.9°, rel. 20
- 62.3°, rel. 12
- 50.8°, rel. 10
- 68.6°, rel. 4

# 4
Structure and calculated X-ray diffraction stick pattern of LiHoAs (a DFT-relaxed cell (PBE, Alexandria); λ = 1.5418 Å (Cu Kα)).
Intensities are scaled so that the largest is 100.

```
LiHoAs
1.0
6.164 3.559 3.336
-6.164 3.559 3.336
0.000 -7.118 3.336
Li Ho As
6 6 6
Direct
0.186 0.564 0.452
0.436 0.548 0.814
0.452 0.186 0.564
0.548 0.814 0.436
0.564 0.452 0.186
0.814 0.436 0.548
0.032 0.890 0.671
0.110 0.329 0.968
0.329 0.968 0.110
0.671 0.032 0.890
0.890 0.671 0.032
0.968 0.110 0.329
0.131 0.621 0.807
0.193 0.869 0.379
0.379 0.193 0.869
0.621 0.807 0.131
0.807 0.131 0.621
0.869 0.379 0.193
```

The 8 most intense peaks (2θ from 5° to 70°), by intensity:
- 12.1°, rel. 100
- 31.5°, rel. 49
- 26.7°, rel. 42
- 35.2°, rel. 36
- 47.6°, rel. 30
- 38.6°, rel. 26
- 23.8°, rel. 21
- 39.8°, rel. 20

# 5
Structure and calculated X-ray diffraction stick pattern of Li4HoAs2 (a DFT-relaxed cell (PBE, Alexandria); λ = 1.5418 Å (Cu Kα)).
Intensities are scaled so that the largest is 100.

```
Li4HoAs2
1.0
7.616 0.000 0.000
0.000 7.616 0.000
0.000 0.000 4.117
Li Ho As
8 2 4
Direct
0.098 0.337 0.000
0.163 0.598 0.500
0.337 0.098 0.000
0.402 0.837 0.500
0.598 0.163 0.500
0.663 0.902 0.000
0.837 0.402 0.500
0.902 0.663 0.000
0.000 0.000 0.500
0.500 0.500 0.000
0.209 0.791 0.000
0.291 0.291 0.500
0.709 0.709 0.500
0.791 0.209 0.000
```

The 8 most intense peaks (2θ from 5° to 70°), by intensity:
- 34.2°, rel. 100
- 16.5°, rel. 96
- 33.3°, rel. 50
- 41.8°, rel. 48
- 24.6°, rel. 41
- 27.3°, rel. 40
- 56.2°, rel. 22
- 37.3°, rel. 20

# 6
Structure and calculated X-ray diffraction stick pattern of HoPu2NpAs4 (a DFT-relaxed cell (PBE, Alexandria); λ = 1.5418 Å (Cu Kα)).
Intensities are scaled so that the largest is 100.

```
HoPu2NpAs4
1.0
7.123 0.000 0.000
0.000 4.113 0.000
-2.376 0.000 6.718
Ho Pu Np As
1 2 1 4
Direct
0.000 0.000 0.000
0.000 0.500 0.500
0.500 0.000 0.500
0.500 0.500 0.000
0.251 0.000 0.753
0.251 0.500 0.248
0.749 0.000 0.247
0.749 0.500 0.752
```

The 8 most intense peaks (2θ from 5° to 70°), by intensity:
- 30.7°, rel. 100
- 44.0°, rel. 76
- 26.5°, rel. 42
- 54.7°, rel. 27
- 52.2°, rel. 21
- 64.0°, rel. 13
- 13.2°, rel. 2
- 25.4°, rel. 1

# 7
Structure and calculated X-ray diffraction stick pattern of HoZrNp2As4 (a DFT-relaxed cell (PBE, Alexandria); λ = 1.5418 Å (Cu Kα)).
Intensities are scaled so that the largest is 100.

```
HoZrNp2As4
1.0
6.988 0.000 0.000
0.000 4.023 0.000
-2.315 0.000 6.621
Ho Zr Np As
1 1 2 4
Direct
0.000 0.000 0.000
0.000 0.500 0.500
0.500 0.000 0.500
0.500 0.500 0.000
0.241 0.000 0.741
0.245 0.500 0.255
0.755 0.500 0.745
0.759 0.000 0.259
```

The 8 most intense peaks (2θ from 5° to 70°), by intensity:
- 31.3°, rel. 100
- 45.0°, rel. 37
- 44.8°, rel. 25
- 27.1°, rel. 22
- 55.9°, rel. 13
- 44.7°, rel. 13
- 65.4°, rel. 12
- 13.4°, rel. 8